This entry pairs a crystal structure of NpTlWO6 with its theoretical powder diffractogram. Radiation: CuKα. Structure: DFT lattice parameters and positions (GGA+U).
Intensities are scaled so that the largest is 100.

Principal peaks in the range 15 to 90 degrees two-theta, sorted by position:
2θ (°), intensity
23.2, 28.7
27.1, 100.0
27.2, 69.5
27.7, 95.0
28.1, 89.8
28.9, 32.7
43.9, 44.5
47.3, 52.7
54.8, 31.2
57.2, 25.8

Atomic structure:
a = 7.687 Å, b = 7.687 Å, c = 7.687 Å
α = 121.77°, β = 119.14°, γ = 89.23°
Fractional positions:
Np: 0.000 0.000 0.000
Np: 0.500 0.000 0.500
Tl: 0.414 0.664 0.750
Tl: 0.586 0.336 0.250
W: 0.000 0.000 0.500
W: 0.000 0.500 0.000
O: 0.050 0.300 0.750
O: 0.059 0.329 0.127
O: 0.059 0.932 0.730
O: 0.298 0.068 0.627
O: 0.298 0.671 0.230
O: 0.328 0.078 0.250
O: 0.672 0.922 0.750
O: 0.702 0.329 0.770
O: 0.702 0.932 0.373
O: 0.941 0.068 0.270
O: 0.941 0.671 0.873
O: 0.950 0.700 0.250